(1)
Diffraction record for Ti3Al2NiC. The powder diffractogram is calculated, not measured: it uses a GGA-PBE-relaxed structure and Cu Kα.
Neutral-atom scattering factors, no anomalous dispersion.

Cell and atoms:
abc: 11.4573 11.4573 11.4573
angles: 90.00 90.00 90.00
Space group Fd-3m (No. 227, origin choice 2)
One atom of each set of equivalent atoms:
Ti 0.0640 0.3750 0.3750 (multiplicity 48)
Al 0.0421 0.0421 0.7079 (multiplicity 32)
Ni 0.0000 0.0000 0.5000 (multiplicity 16)
C 0.0000 0.0000 0.0000 (multiplicity 16)

Main lines, low angle first (10 to 90 degrees two-theta):
26.96 deg, intensity 11.3
34.11 deg, intensity 33.7
38.49 deg, intensity 39.1
40.93 deg, intensity 100.0
44.75 deg, intensity 44.8
53.02 deg, intensity 15.5
66.84 deg, intensity 8.9
69.63 deg, intensity 31.4
71.28 deg, intensity 10.7
84.06 deg, intensity 17.0

***

(2)
Diffraction record for Y2MgTl. The powder diffractogram is calculated, not measured: it uses a GGA-PBE-relaxed structure and Cu Kα.
Neutral-atom scattering factors, no anomalous dispersion.

Cell and atoms:
abc: 7.5703 7.5703 7.5703
angles: 90.00 90.00 90.00
Space group Fm-3m (No. 225)
One atom of each set of equivalent atoms:
Y 0.2500 0.2500 0.2500 (multiplicity 8)
Mg 0.0000 0.0000 0.0000 (multiplicity 4)
Tl 0.0000 0.0000 0.5000 (multiplicity 4)

Main lines, low angle first (10 to 90 degrees two-theta):
20.32 deg, intensity 41.0
33.48 deg, intensity 100.0
39.48 deg, intensity 23.4
48.08 deg, intensity 18.0
52.70 deg, intensity 10.4
59.85 deg, intensity 37.2
63.90 deg, intensity 7.9
70.35 deg, intensity 11.4
74.09 deg, intensity 7.8
80.19 deg, intensity 15.9

***

(3)
Diffraction record for ReTe4Mo2. The powder diffractogram is calculated, not measured: it uses a GGA-PBE-relaxed structure and Cu Kα.
Neutral-atom scattering factors, no anomalous dispersion.

Cell and atoms:
abc: 7.1070 7.1508 7.1690
angles: 92.94 92.79 92.81
Space group P1 (No. 1)
One atom of each set of equivalent atoms:
Re 0.0000 0.0000 0.0000 (multiplicity 1)
Re 0.2992 0.8314 0.8731 (multiplicity 1)
Te 0.1702 0.1293 0.6814 (multiplicity 1)
Te 0.2938 0.6264 0.5410 (multiplicity 1)
Te 0.3371 0.0403 0.2033 (multiplicity 1)
Te 0.4306 0.5112 0.0384 (multiplicity 1)
Te 0.6667 0.9930 0.7942 (multiplicity 1)
Te 0.7583 0.4609 0.6236 (multiplicity 1)
Te 0.8067 0.8735 0.2973 (multiplicity 1)
Te 0.9282 0.3654 0.1598 (multiplicity 1)
Mo 0.0961 0.4946 0.8346 (multiplicity 1)
Mo 0.1327 0.7045 0.1740 (multiplicity 1)
Mo 0.7972 0.6647 0.9640 (multiplicity 1)
Mo 0.9643 0.7961 0.6640 (multiplicity 1)

Main lines, low angle first (10 to 90 degrees two-theta):
12.39 deg, intensity 100.0
12.49 deg, intensity 40.0
28.55 deg, intensity 31.9
29.86 deg, intensity 32.5
30.44 deg, intensity 26.8
37.01 deg, intensity 35.8
41.75 deg, intensity 45.5
41.85 deg, intensity 26.2
42.01 deg, intensity 35.1
46.76 deg, intensity 32.7

***

(4)
Diffraction record for K3Rh. The powder diffractogram is calculated, not measured: it uses a GGA-PBE-relaxed structure and Cu Kα.
Neutral-atom scattering factors, no anomalous dispersion.

Cell and atoms:
abc: 5.7111 5.7111 8.5469
angles: 90.00 90.00 90.00
Space group I4/mmm (No. 139)
One atom of each set of equivalent atoms:
K 0.0000 0.0000 0.0000 (multiplicity 2)
K 0.0000 0.5000 0.2500 (multiplicity 4)
Rh 0.0000 0.0000 0.5000 (multiplicity 2)

Main lines, low angle first (10 to 90 degrees two-theta):
18.69 deg, intensity 25.9
22.01 deg, intensity 8.8
30.45 deg, intensity 100.0
31.33 deg, intensity 46.2
36.72 deg, intensity 9.8
42.30 deg, intensity 9.5
44.89 deg, intensity 15.9
53.57 deg, intensity 18.1
55.22 deg, intensity 32.9
63.38 deg, intensity 10.5

***

(5)
Diffraction record for ThIr5. The powder diffractogram is calculated, not measured: it uses a GGA-PBE-relaxed structure and Cu Kα.
Neutral-atom scattering factors, no anomalous dispersion.

Cell and atoms:
abc: 5.3397 5.3397 4.3661
angles: 90.00 90.00 120.00
Space group P6/mmm (No. 191)
One atom of each set of equivalent atoms:
Th 0.0000 0.0000 0.0000 (multiplicity 1)
Ir 0.0000 0.5000 0.5000 (multiplicity 3)
Ir 0.3333 0.6667 0.0000 (multiplicity 2)

Main lines, low angle first (10 to 90 degrees two-theta):
28.11 deg, intensity 19.5
33.57 deg, intensity 21.2
38.95 deg, intensity 30.2
39.57 deg, intensity 100.0
41.36 deg, intensity 32.2
44.33 deg, intensity 33.0
58.11 deg, intensity 19.2
64.06 deg, intensity 24.8
70.55 deg, intensity 20.4
85.21 deg, intensity 25.4

***

(6)
Diffraction record for AgBrO2. The powder diffractogram is calculated, not measured: it uses a GGA-PBE-relaxed structure and Cu Kα.
Neutral-atom scattering factors, no anomalous dispersion.

Cell and atoms:
abc: 5.0152 21.5183 3.6185
angles: 90.00 91.42 90.00
Space group C2/c (No. 15)
One atom of each set of equivalent atoms:
Ag 0.2500 0.2500 0.0000 (multiplicity 4)
Br 0.0000 0.1575 0.2500 (multiplicity 4)
O 0.1229 0.4691 0.2542 (multiplicity 8)

Main lines, low angle first (10 to 90 degrees two-theta):
16.48 deg, intensity 46.1
21.63 deg, intensity 77.4
31.12 deg, intensity 100.0
32.65 deg, intensity 50.2
33.32 deg, intensity 31.7
36.79 deg, intensity 66.3
39.67 deg, intensity 41.6
41.99 deg, intensity 24.2
42.33 deg, intensity 41.5
44.07 deg, intensity 39.0

***

(7)
Diffraction record for KMg6BiO8. The powder diffractogram is calculated, not measured: it uses a GGA-PBE-relaxed structure and Cu Kα.
Neutral-atom scattering factors, no anomalous dispersion.

Cell and atoms:
abc: 4.5984 4.5984 9.2021
angles: 90.00 90.00 90.00
Space group P4/mmm (No. 123)
One atom of each set of equivalent atoms:
K 0.0000 0.0000 0.0000 (multiplicity 1)
Mg 0.0000 0.5000 0.2277 (multiplicity 4)
Mg 0.5000 0.5000 0.0000 (multiplicity 1)
Mg 0.5000 0.5000 0.5000 (multiplicity 1)
Bi 0.0000 0.0000 0.5000 (multiplicity 1)
O 0.0000 0.0000 0.2552 (multiplicity 2)
O 0.0000 0.5000 0.0000 (multiplicity 2)
O 0.0000 0.5000 0.5000 (multiplicity 2)
O 0.5000 0.5000 0.2517 (multiplicity 2)

Main lines, low angle first (10 to 90 degrees two-theta):
19.30 deg, intensity 82.3
21.60 deg, intensity 58.5
27.42 deg, intensity 70.9
29.12 deg, intensity 45.5
33.75 deg, intensity 50.4
39.17 deg, intensity 100.0
44.02 deg, intensity 40.8
48.48 deg, intensity 32.2
56.60 deg, intensity 61.1
67.55 deg, intensity 23.5